Record 1
For V7MoW3, a structure optimized by DFT (PBE) gives the theoretical PXRD pattern in this record (Cu Ka).
Neutral-atom scattering factors, no anomalous dispersion.

Principal peaks in the range 2θ from 10° to 90°, sorted by position:
22.3°, 3.981 Å, I = 80, hkl 2 0 0; 28.5°, 3.132 Å, I = 70, hkl 0 2 1; 30.8°, 2.900 Å, I = 73, hkl 2 2 -1; 39.0°, 2.311 Å, I = 79, hkl 2 0 -2; 41.5°, 2.176 Å, I = 100, hkl 2 2 1; 46.5°, 1.953 Å, I = 68, hkl 4 2 -1

Atomic structure:
Lattice parameters (Å, degrees): 8.666 9.143 4.680 90.00 113.25 90.00
Space group C2/m (No. 12)
One atom of each set of equivalent atoms:
V 0.000 0.000 0.000 (multiplicity 2)
V 0.177 0.280 0.670 (multiplicity 8)
V 0.196 0.500 0.165 (multiplicity 4)
Mo 0.000 0.000 0.500 (multiplicity 2)
W 0.000 0.271 0.000 (multiplicity 4)
W 0.000 0.500 0.500 (multiplicity 2)

=====

Record 2
For VMoW, a structure optimized by DFT (PBE) gives the theoretical PXRD pattern in this record (Cu Ka).
Neutral-atom scattering factors, no anomalous dispersion.

Principal peaks in the range 2θ from 10° to 90°, sorted by position:
13.5°, 6.549 Å, I = 42, hkl 0 0 1; 40.5°, 2.227 Å, I = 51, hkl 0 2 0; 40.9°, 2.209 Å, I = 100, hkl 1 1 1; 41.0°, 2.201 Å, I = 99, hkl 1 1 -2; 41.4°, 2.183 Å, I = 48, hkl 0 0 3; 59.3°, 1.559 Å, I = 49, hkl 2 0 -1

Atomic structure:
Lattice parameters (Å, degrees): 3.119 4.453 6.725 90.00 103.13 90.00
Space group P2_1/m (No. 11)
One atom of each set of equivalent atoms:
V 0.249 0.250 0.498 (multiplicity 2)
Mo 0.414 0.750 0.827 (multiplicity 2)
W 0.086 0.750 0.173 (multiplicity 2)

=====

Record 3
For V2Mo3W2, a structure optimized by DFT (PBE) gives the theoretical PXRD pattern in this record (Cu Ka).
Neutral-atom scattering factors, no anomalous dispersion.

Principal peaks in the range 2θ from 10° to 90°, sorted by position:
19.0°, 4.673 Å, I = 8, hkl 2 0 0; 40.8°, 2.211 Å, I = 100, hkl 3 1 1; 40.9°, 2.208 Å, I = 20, hkl 0 2 0; 59.1°, 1.563 Å, I = 20, hkl 2 0 3; 74.2°, 1.278 Å, I = 10, hkl 7 1 0; 74.4°, 1.275 Å, I = 30, hkl 3 3 1

Atomic structure:
Lattice parameters (Å, degrees): 9.392 4.415 5.179 90.00 95.64 90.00
Space group C2/m (No. 12)
One atom of each set of equivalent atoms:
V 0.216 0.000 0.356 (multiplicity 4)
Mo 0.000 0.500 0.500 (multiplicity 2)
Mo 0.144 0.500 0.075 (multiplicity 4)
W 0.073 0.000 0.784 (multiplicity 4)

=====

Record 4
For V2Mo3W6, a structure optimized by DFT (PBE) gives the theoretical PXRD pattern in this record (Cu Ka).
Neutral-atom scattering factors, no anomalous dispersion.

Principal peaks in the range 2θ from 10° to 90°, sorted by position:
38.3°, 2.352 Å, I = 57, hkl 0 2 0; 39.2°, 2.298 Å, I = 100, hkl 0 1 11; 41.2°, 2.190 Å, I = 39, hkl 1 0 7; 41.8°, 2.160 Å, I = 82, hkl 1 1 4; 57.5°, 1.603 Å, I = 31, hkl 1 2 7; 73.3°, 1.292 Å, I = 25, hkl 2 0 0

Atomic structure:
Lattice parameters (Å, degrees): 2.582 4.703 28.967 90.00 90.00 90.00
Space group Immm (No. 71)
One atom of each set of equivalent atoms:
V 0.000 0.000 0.042 (multiplicity 4)
Mo 0.000 0.000 0.317 (multiplicity 4)
Mo 0.000 0.000 0.500 (multiplicity 2)
W 0.000 0.000 0.223 (multiplicity 4)
W 0.000 0.500 0.091 (multiplicity 4)
W 0.000 0.500 0.369 (multiplicity 4)

=====

Record 5
For V12Mo5W2, a structure optimized by DFT (PBE) gives the theoretical PXRD pattern in this record (Cu Ka).
Neutral-atom scattering factors, no anomalous dispersion.

Principal peaks in the range 2θ from 10° to 90°, sorted by position:
10.9°, 8.137 Å, I = 79, hkl 0 0 1; 26.8°, 3.323 Å, I = 68, hkl 1 1 -2; 39.7°, 2.270 Å, I = 100, hkl 6 0 0; 40.7°, 2.215 Å, I = 79, hkl 2 2 -2; 42.1°, 2.145 Å, I = 74, hkl 2 0 -4; 42.7°, 2.117 Å, I = 67, hkl 4 2 -1

Atomic structure:
Lattice parameters (Å, degrees): 14.370 5.255 8.582 90.00 108.54 90.00
Space group C2/m (No. 12)
One atom of each set of equivalent atoms:
V 0.004 0.000 0.352 (multiplicity 4)
V 0.104 0.500 0.805 (multiplicity 4)
V 0.166 0.244 0.576 (multiplicity 8)
V 0.190 0.276 0.109 (multiplicity 8)
Mo 0.000 0.500 0.500 (multiplicity 2)
Mo 0.143 0.000 0.857 (multiplicity 4)
Mo 0.170 0.000 0.328 (multiplicity 4)
W 0.000 0.252 0.000 (multiplicity 4)

=====

Record 6
For V2Mo6W3, a structure optimized by DFT (PBE) gives the theoretical PXRD pattern in this record (Cu Ka).
Neutral-atom scattering factors, no anomalous dispersion.

Principal peaks in the range 2θ from 10° to 90°, sorted by position:
19.2°, 4.633 Å, I = 21, hkl 0 1 1; 38.3°, 2.347 Å, I = 67, hkl 0 2 0; 39.2°, 2.296 Å, I = 100, hkl 0 1 11; 41.3°, 2.184 Å, I = 22, hkl 1 0 7; 42.0°, 2.153 Å, I = 50, hkl 1 1 4; 44.3°, 2.043 Å, I = 27, hkl 1 1 6

Atomic structure:
Lattice parameters (Å, degrees): 2.572 4.693 28.966 90.00 90.00 90.00
Space group Immm (No. 71)
One atom of each set of equivalent atoms:
V 0.000 0.000 0.042 (multiplicity 4)
Mo 0.000 0.000 0.223 (multiplicity 4)
Mo 0.000 0.500 0.091 (multiplicity 4)
Mo 0.000 0.500 0.369 (multiplicity 4)
W 0.000 0.000 0.317 (multiplicity 4)
W 0.000 0.000 0.500 (multiplicity 2)